[1]
Structure and theoretical powder diffraction line list of MgO (a PBE-relaxed structure; Cu Kα (λ = 1.5418 Å)).
No peak broadening, texture or thermal motion is included.

Top 10 peaks for 2θ from 15° to 90°, by angle:
2θ/deg  intensity
15.51  55
23.30  100
28.74  79
34.08  64
42.92  100
47.77  45
50.26  54
54.42  54
68.19  37
71.69  42

Structural model:
Lattice parameters (Å, degrees): 8.174 8.174 8.174 135.33 54.67 150.12
Positions (direct):
Mg (0.071, 0.665, 0.736)
Mg (0.190, 0.164, 0.354)
Mg (0.310, 0.664, 0.974)
Mg (0.429, 0.165, 0.594)
Mg (0.571, 0.835, 0.406)
Mg (0.690, 0.336, 0.026)
Mg (0.810, 0.836, 0.646)
Mg (0.929, 0.335, 0.264)
O (0.071, 0.330, 0.401)
O (0.190, 0.836, 0.026)
O (0.310, 0.336, 0.646)
O (0.429, 0.830, 0.259)
O (0.571, 0.170, 0.741)
O (0.690, 0.664, 0.354)
O (0.810, 0.164, 0.974)
O (0.929, 0.670, 0.599)


[2]
Structure and theoretical powder diffraction line list of Ba5Ho2ZrAl2O13 (a PBE-relaxed structure; Cu Kα (λ = 1.5418 Å)).
No peak broadening, texture or thermal motion is included.

Top 10 peaks for 2θ from 15° to 90°, by angle:
2θ/deg  intensity
17.35  18
27.24  24
29.64  100
30.14  64
40.69  17
41.45  15
42.78  32
52.59  20
52.91  26
61.53  20

Structural model:
Lattice parameters (Å, degrees): 6.028 6.028 25.223 90.00 90.00 120.00
Positions (direct):
Ba (0.000, 0.000, 0.137)
Ba (0.000, 0.000, 0.363)
Ba (0.000, 0.000, 0.637)
Ba (0.000, 0.000, 0.863)
Ba (0.333, 0.667, 0.041)
Ba (0.333, 0.667, 0.459)
Ba (0.333, 0.667, 0.750)
Ba (0.667, 0.333, 0.250)
Ba (0.667, 0.333, 0.541)
Ba (0.667, 0.333, 0.959)
Ho (0.333, 0.667, 0.604)
Ho (0.333, 0.667, 0.896)
Ho (0.667, 0.333, 0.104)
Ho (0.667, 0.333, 0.396)
Zr (0.000, 0.000, 0.000)
Zr (0.000, 0.000, 0.500)
Al (0.333, 0.667, 0.181)
Al (0.333, 0.667, 0.319)
Al (0.667, 0.333, 0.681)
Al (0.667, 0.333, 0.819)
O (0.011, 0.505, 0.158)
O (0.011, 0.505, 0.342)
O (0.163, 0.326, 0.550)
O (0.163, 0.326, 0.950)
O (0.163, 0.837, 0.550)
O (0.163, 0.837, 0.950)
O (0.326, 0.163, 0.050)
O (0.326, 0.163, 0.450)
O (0.333, 0.667, 0.250)
O (0.495, 0.505, 0.158)
O (0.495, 0.505, 0.342)
O (0.495, 0.989, 0.158)
O (0.495, 0.989, 0.342)
O (0.505, 0.011, 0.658)
O (0.505, 0.011, 0.842)
O (0.505, 0.495, 0.658)
O (0.505, 0.495, 0.842)
O (0.667, 0.333, 0.750)
O (0.674, 0.837, 0.550)
O (0.674, 0.837, 0.950)
O (0.837, 0.163, 0.050)
O (0.837, 0.163, 0.450)
O (0.837, 0.674, 0.050)
O (0.837, 0.674, 0.450)
O (0.989, 0.495, 0.658)
O (0.989, 0.495, 0.842)


[3]
Structure and theoretical powder diffraction line list of CdBPC (a PBE-relaxed structure; Cu Kα (λ = 1.5418 Å)).
No peak broadening, texture or thermal motion is included.

Top 10 peaks for 2θ from 15° to 90°, by angle:
2θ/deg  intensity
15.24  55
22.25  100
22.55  61
30.75  64
30.99  34
31.65  42
35.13  57
40.02  21
40.34  21
46.72  26

Structural model:
Lattice parameters (Å, degrees): 2.700 4.435 6.229 109.80 90.50 107.72
Positions (direct):
Cd (0.000, 0.000, 0.000)
B (0.448, 0.887, 0.454)
P (0.260, 0.508, 0.566)
C (0.030, 0.053, 0.455)


[4]
Structure and theoretical powder diffraction line list of Tb3Tl4CdTe8 (a PBE-relaxed structure; Cu Kα (λ = 1.5418 Å)).
No peak broadening, texture or thermal motion is included.

Top 10 peaks for 2θ from 15° to 90°, by angle:
2θ/deg  intensity
27.45  100
38.02  38
40.37  37
45.49  7
49.51  20
56.66  12
62.42  15
65.72  17
71.85  12
73.40  6

Structural model:
Lattice parameters (Å, degrees): 9.499 9.499 9.499 56.13 56.13 56.13
Positions (direct):
Tb (0.000, 0.500, 0.500)
Tb (0.500, 0.000, 0.500)
Tb (0.500, 0.500, 0.000)
Tl (0.000, 0.000, 0.500)
Tl (0.000, 0.500, 0.000)
Tl (0.500, 0.000, 0.000)
Tl (0.500, 0.500, 0.500)
Cd (0.000, 0.000, 0.000)
Te (0.238, 0.238, 0.739)
Te (0.238, 0.739, 0.238)
Te (0.261, 0.261, 0.261)
Te (0.261, 0.762, 0.762)
Te (0.739, 0.238, 0.238)
Te (0.739, 0.739, 0.739)
Te (0.762, 0.261, 0.762)
Te (0.762, 0.762, 0.261)


[5]
Structure and theoretical powder diffraction line list of Tb7Pr12Tm (a PBE-relaxed structure; Cu Kα (λ = 1.5418 Å)).
No peak broadening, texture or thermal motion is included.

Top 10 peaks for 2θ from 15° to 90°, by angle:
2θ/deg  intensity
27.11  46
29.74  100
30.24  45
32.45  47
32.72  47
34.18  28
38.88  41
39.59  26
46.00  30
47.09  28

Structural model:
Lattice parameters (Å, degrees): 11.586 11.586 11.586 116.79 116.79 116.79
Positions (direct):
Tb (0.000, 0.000, 0.000)
Tb (0.133, 0.377, 0.378)
Tb (0.377, 0.378, 0.133)
Tb (0.378, 0.133, 0.377)
Tb (0.622, 0.867, 0.623)
Tb (0.623, 0.622, 0.867)
Tb (0.867, 0.623, 0.622)
Pr (0.001, 0.589, 0.412)
Pr (0.082, 0.082, 0.435)
Pr (0.082, 0.435, 0.082)
Pr (0.411, 0.588, 0.999)
Pr (0.412, 0.001, 0.589)
Pr (0.435, 0.082, 0.082)
Pr (0.565, 0.918, 0.918)
Pr (0.588, 0.999, 0.411)
Pr (0.589, 0.412, 0.001)
Pr (0.918, 0.565, 0.918)
Pr (0.918, 0.918, 0.565)
Pr (0.999, 0.411, 0.588)
Tm (0.500, 0.500, 0.500)


[6]
Structure and theoretical powder diffraction line list of Pm6Sb2Rh (a PBE-relaxed structure; Cu Kα (λ = 1.5418 Å)).
No peak broadening, texture or thermal motion is included.

Top 10 peaks for 2θ from 15° to 90°, by angle:
2θ/deg  intensity
26.95  30
27.63  57
29.78  30
30.77  100
31.23  61
33.81  31
34.09  35
34.53  46
34.94  35
35.53  66

Structural model:
Lattice parameters (Å, degrees): 6.446 8.240 12.069 90.00 120.57 90.00
Positions (direct):
Pm (0.087, 0.181, 0.454)
Pm (0.087, 0.319, 0.954)
Pm (0.317, 0.677, 0.456)
Pm (0.317, 0.823, 0.956)
Pm (0.368, 0.024, 0.246)
Pm (0.368, 0.476, 0.746)
Pm (0.632, 0.524, 0.254)
Pm (0.632, 0.976, 0.754)
Pm (0.683, 0.177, 0.044)
Pm (0.683, 0.323, 0.544)
Pm (0.913, 0.681, 0.046)
Pm (0.913, 0.819, 0.546)
Sb (0.159, 0.115, 0.750)
Sb (0.159, 0.385, 0.250)
Sb (0.841, 0.615, 0.750)
Sb (0.841, 0.885, 0.250)
Rh (0.500, 0.000, 0.500)
Rh (0.500, 0.500, 0.000)